For TiAsRh, the PBE geometry in the Materials Project gives the calculated X-ray diffraction stick pattern in this record (λ = 1.5418 Å (Cu Kα)).
Peak positions follow from Bragg's law for the DFT cell and can differ from measured ones.

The 10 most intense peaks (2θ from 10° to 80°), low angle first:
2θ 18.28, I 51, (1 0 1); 2θ 26.03, I 35, (0 1 1); 2θ 36.36, I 74, (1 1 2); 2θ 36.54, I 80, (2 1 0); 2θ 38.55, I 100, (2 1 1); 2θ 43.31, I 97, (0 1 3); 2θ 44.22, I 34, (3 0 1); 2θ 45.69, I 47, (1 1 3); 2θ 47.19, I 69, (0 2 0); 2θ 49.26, I 38, (3 0 2)

Crystal structure
```
12
Lattice="6.390 0.000 0.000 0.000 3.852 0.000 0.000 0.000 7.460" Properties=species:S:1:pos:R:3 pbc="T T T"
Ti 0.198 0.963 1.354
Ti 2.997 2.889 5.084
Ti 3.393 0.963 2.376
Ti 6.192 2.889 6.106
As 1.593 0.963 6.550
As 1.602 2.889 2.820
As 4.788 0.963 4.640
As 4.797 2.889 0.910
Rh 0.920 0.963 4.206
Rh 2.275 2.889 0.476
Rh 4.115 0.963 6.984
Rh 5.470 2.889 3.254
```

For VAsRh, the PBE geometry in the Materials Project gives the calculated X-ray diffraction stick pattern in this record (λ = 1.5418 Å (Cu Kα)).
Peak positions follow from Bragg's law for the DFT cell and can differ from measured ones.

The 10 most intense peaks (2θ from 10° to 80°), low angle first:
2θ 18.85, I 37, (1 0 1); 2θ 25.86, I 32, (0 1 1); 2θ 36.71, I 72, (1 1 2); 2θ 37.18, I 88, (2 1 0); 2θ 39.25, I 100, (2 1 1); 2θ 43.82, I 97, (0 1 3); 2θ 46.36, I 44, (1 1 3); 2θ 46.48, I 76, (0 2 0); 2θ 51.06, I 34, (3 0 2); 2θ 71.51, I 32, (3 2 2)

Crystal structure
```
12
Lattice="6.156 0.000 0.000 0.000 3.908 0.000 0.000 0.000 7.301" Properties=species:S:1:pos:R:3 pbc="T T T"
V 0.188 0.977 1.303
V 2.890 2.931 4.953
V 3.266 0.977 2.348
V 5.968 2.931 5.999
As 1.491 0.977 6.436
As 1.587 2.931 2.785
As 4.569 0.977 4.517
As 4.665 2.931 0.866
Rh 0.896 0.977 4.113
Rh 2.182 2.931 0.462
Rh 3.974 0.977 6.839
Rh 5.260 2.931 3.188
```

For Y2As7Rh12, the PBE geometry in the Materials Project gives the calculated X-ray diffraction stick pattern in this record (λ = 1.5418 Å (Cu Kα)).
Peak positions follow from Bragg's law for the DFT cell and can differ from measured ones.

The 10 most intense peaks (2θ from 10° to 80°), low angle first:
2θ 17.77, I 8, (1 1 0); 2θ 35.70, I 100, (3 -1 1); 2θ 38.71, I 10, (3 0 1); 2θ 44.22, I 21, (3 1 1); 2θ 45.75, I 12, (2 3 0); 2θ 46.06, I 21, (0 0 2); 2θ 48.01, I 12, (0 4 1); 2θ 48.24, I 27, (4 1 0); 2θ 68.91, I 16, (4 1 2); 2θ 78.47, I 11, (1 2 3)

Crystal structure
```
21
Lattice="9.982 0.000 0.000 -4.991 8.644 0.000 0.000 0.000 3.941" Properties=species:S:1:pos:R:3 pbc="T T T"
Y 0.000 0.000 0.000
Y 0.000 5.763 1.962
As -2.390 5.375 3.940
As 2.368 0.399 1.974
As 1.531 3.887 3.940
As 0.859 8.026 3.940
As 4.991 2.881 1.315
As 4.153 6.394 1.974
As 8.452 1.851 1.974
Rh -3.421 6.756 1.970
Rh -0.846 3.464 0.000
Rh 0.851 2.303 1.970
Rh -1.568 7.645 0.000
Rh 2.978 1.896 0.003
Rh 4.811 0.565 1.969
Rh 3.075 4.196 1.969
Rh 2.414 6.180 0.000
Rh 2.571 8.229 1.970
Rh 6.851 1.631 0.003
Rh 5.144 5.117 0.003
Rh 7.087 3.884 1.969
```

Copy entry 1 word for word.
For TiAsRh, the PBE geometry in the Materials Project gives the calculated X-ray diffraction stick pattern in this record (λ = 1.5418 Å (Cu Kα)).
Peak positions follow from Bragg's law for the DFT cell and can differ from measured ones.

The 10 most intense peaks (2θ from 10° to 80°), low angle first:
2θ 18.28, I 51, (1 0 1); 2θ 26.03, I 35, (0 1 1); 2θ 36.36, I 74, (1 1 2); 2θ 36.54, I 80, (2 1 0); 2θ 38.55, I 100, (2 1 1); 2θ 43.31, I 97, (0 1 3); 2θ 44.22, I 34, (3 0 1); 2θ 45.69, I 47, (1 1 3); 2θ 47.19, I 69, (0 2 0); 2θ 49.26, I 38, (3 0 2)

Crystal structure
```
12
Lattice="6.390 0.000 0.000 0.000 3.852 0.000 0.000 0.000 7.460" Properties=species:S:1:pos:R:3 pbc="T T T"
Ti 0.198 0.963 1.354
Ti 2.997 2.889 5.084
Ti 3.393 0.963 2.376
Ti 6.192 2.889 6.106
As 1.593 0.963 6.550
As 1.602 2.889 2.820
As 4.788 0.963 4.640
As 4.797 2.889 0.910
Rh 0.920 0.963 4.206
Rh 2.275 2.889 0.476
Rh 4.115 0.963 6.984
Rh 5.470 2.889 3.254
```